This entry pairs a crystal structure of Dy3Cu3Ni2 with its simulated powder X-ray diffraction pattern. Radiation: Cu Kα. Structure: a crystal structure in Alexandria, relaxed with PBE.

Structural model:
Cell lengths 7.1920, 15.4338, 5.2472 Å; angles 90.00, 90.00, 90.00 degrees
Space group Pnma (No. 62)
Symmetry-distinct sites (fractional):
Dy 0.0345 0.1052 0.1230
Dy 0.1703 0.2500 0.6335
Cu 0.1747 0.0309 0.5965
Cu 0.1793 0.7500 0.6275
Ni 0.1178 0.6135 0.3733

The 10 most intense peaks (10 to 90 degrees two-theta), in order of rising 2θ:
2θ/deg	intensity
31.35	70
34.08	100
34.89	72
36.45	36
36.93	76
38.28	95
40.59	74
41.41	71
43.57	46
55.96	36


This entry pairs a crystal structure of Zn2Ni3Ir with its simulated powder X-ray diffraction pattern. Radiation: Cu Kα. Structure: a crystal structure in Alexandria, relaxed with PBE.

Structural model:
Cell lengths 7.8556, 7.8556, 9.7973 Å; angles 90.00, 90.00, 90.00 degrees
Space group I4_1/amd (No. 141, origin choice 2)
Symmetry-distinct sites (fractional):
Zn 0.0000 0.0793 0.2676
Ni 0.0000 0.0000 0.5000
Ni 0.2100 0.0400 0.8750
Ir 0.0000 0.2500 0.0197

The 10 most intense peaks (10 to 90 degrees two-theta), in order of rising 2θ:
2θ/deg	intensity
22.64	24
26.96	24
32.23	19
37.60	40
42.51	100
43.55	75
44.34	44
46.23	44
50.35	25
78.00	21


This entry pairs a crystal structure of CsSrF3 with its simulated powder X-ray diffraction pattern. Radiation: Cu Kα. Structure: a crystal structure in Alexandria, relaxed with PBE.

Structural model:
Cell lengths 6.7634, 6.7722, 6.8130 Å; angles 119.80, 119.74, 90.00 degrees
Space group P-1 (No. 2)
Symmetry-distinct sites (fractional):
Cs 0.2503 0.2470 0.0001
Sr 0.0000 0.5000 0.5000
Sr 0.5000 0.0000 0.5000
F 0.2020 0.7886 0.4906
F 0.2510 0.7617 0.9999
F 0.2973 0.2971 0.5080

The 10 most intense peaks (10 to 90 degrees two-theta), in order of rising 2θ:
2θ/deg	intensity
26.16	100
26.34	54
32.25	14
37.06	20
37.59	36
46.04	23
46.37	47
53.82	24
61.19	14
73.80	13


This entry pairs a crystal structure of Tm8ThSc2 with its simulated powder X-ray diffraction pattern. Radiation: Cu Kα. Structure: a crystal structure in Alexandria, relaxed with PBE.

Structural model:
Cell lengths 5.2279, 8.1061, 15.5580 Å; angles 90.00, 90.00, 90.00 degrees
Space group Immm (No. 71)
Symmetry-distinct sites (fractional):
Tm 0.0000 0.0000 0.1589
Tm 0.0000 0.2074 0.3521
Tm 0.0000 0.2957 0.0000
Th 0.0000 0.5000 0.5000
Sc 0.0000 0.5000 0.2007

The 10 most intense peaks (10 to 90 degrees two-theta), in order of rising 2θ:
2θ/deg	intensity
23.25	21
30.70	30
32.86	100
33.67	19
34.31	29
34.59	21
48.83	14
49.51	15
60.53	17
64.80	13


This entry pairs a crystal structure of BaTiSb2O8 with its simulated powder X-ray diffraction pattern. Radiation: Cu Kα. Structure: a crystal structure in Alexandria, relaxed with PBE.

Structural model:
Cell lengths 5.0309, 6.6590, 5.0341 Å; angles 90.00, 95.73, 90.00 degrees
Space group P2/m (No. 10)
Symmetry-distinct sites (fractional):
Ba 0.0000 0.0000 0.0000
Ti 0.0000 0.5000 0.0000
Sb 0.5000 0.2625 0.5000
O 0.2093 0.3043 0.2087
O 0.3098 0.5000 0.6893
O 0.3386 0.0000 0.6599

The 10 most intense peaks (10 to 90 degrees two-theta), in order of rising 2θ:
2θ/deg	intensity
22.21	15
23.84	80
26.40	56
32.29	100
35.87	28
47.57	51
48.81	12
50.44	36
62.20	36
82.82	15


This entry pairs a crystal structure of Ba7Na2Pd with its simulated powder X-ray diffraction pattern. Radiation: Cu Kα. Structure: a crystal structure in Alexandria, relaxed with PBE.

Structural model:
Cell lengths 18.7290, 10.5017, 14.1090 Å; angles 90.00, 130.86, 90.00 degrees
Space group C2/c (No. 15)
Symmetry-distinct sites (fractional):
Ba 0.0000 0.0786 0.2500
Ba 0.0900 0.3290 0.1216
Ba 0.1338 0.3105 0.7974
Ba 0.1899 0.3914 0.5259
Na 0.1404 0.0329 0.6041
Pd 0.0000 0.4165 0.2500

The 10 most intense peaks (10 to 90 degrees two-theta), in order of rising 2θ:
2θ/deg	intensity
10.50	52
23.04	38
25.51	53
25.68	100
26.23	68
26.54	46
26.72	36
26.91	33
39.42	17
41.96	25


This entry pairs a crystal structure of Pm4GeSb2 with its simulated powder X-ray diffraction pattern. Radiation: Cu Kα. Structure: a crystal structure in Alexandria, relaxed with PBE.

Structural model:
Cell lengths 15.7890, 4.4490, 7.5664 Å; angles 90.00, 117.66, 90.00 degrees
Space group C2/m (No. 12)
Symmetry-distinct sites (fractional):
Pm 0.1199 0.0000 0.4398
Pm 0.1231 0.5000 0.9810
Ge 0.0000 0.0000 0.0000
Sb 0.2356 0.5000 0.7348

The 10 most intense peaks (10 to 90 degrees two-theta), in order of rising 2θ:
2θ/deg	intensity
26.41	100
26.60	35
26.99	50
34.59	55
34.87	46
40.55	29
41.15	51
45.36	17
45.73	17
49.39	22


This entry pairs a crystal structure of SrMg3Pb3 with its simulated powder X-ray diffraction pattern. Radiation: Cu Kα. Structure: a crystal structure in Alexandria, relaxed with PBE.

Structural model:
Cell lengths 8.7850, 8.7850, 19.8601 Å; angles 90.00, 90.00, 120.00 degrees
Space group R-3 (No. 148, hexagonal axes)
Symmetry-distinct sites (fractional):
Sr 0.0000 0.0000 0.1659
Mg 0.0012 0.3537 0.3839
Pb 0.9997 0.2918 0.5649

The 10 most intense peaks (10 to 90 degrees two-theta), in order of rising 2θ:
2θ/deg	intensity
13.37	24
20.22	25
24.32	100
32.41	13
33.91	63
35.39	49
36.10	13
46.03	18
49.83	16
59.71	15


This entry pairs a crystal structure of AcPr4Ho with its simulated powder X-ray diffraction pattern. Radiation: Cu Kα. Structure: a crystal structure in Alexandria, relaxed with PBE.

Structural model:
Cell lengths 3.5797, 5.8870, 10.7099 Å; angles 90.00, 90.06, 90.00 degrees
Space group Pm (No. 6)
Symmetry-distinct sites (fractional):
Ac 0.0000 0.0000 0.0000
Pr 0.0041 0.5000 0.2026
Pr 0.0051 0.5000 0.7974
Pr 0.5032 0.0000 0.6806
Pr 0.5040 0.0000 0.3194
Ho 0.5034 0.5000 0.5000

The 10 most intense peaks (10 to 90 degrees two-theta), in order of rising 2θ:
2θ/deg	intensity
26.25	51
29.25	91
30.37	48
33.75	100
40.56	33
49.60	21
53.27	17
56.14	24
59.27	25
59.91	23